Record 1
The following is a simulated powder diffraction line list of KTl2RhCl6. It was derived from DFT lattice parameters and positions (PBE), using Cu Kα (weighted mean of Kα1 and Kα2).

Top 10 peaks for 2θ from 10° to 90°, low angle first:
d = 6.303 Å, I 26; d = 5.265 Å, I 36; d = 3.940 Å, I 33; d = 3.747 Å, I 81; d = 3.695 Å, I 100; d = 3.549 Å, I 36; d = 2.637 Å, I 40; d = 2.626 Å, I 33; d = 2.401 Å, I 33; d = 2.094 Å, I 43

Structure:
```
KTl2RhCl6
1.0
7.100 0.000 0.000
0.000 7.880 0.000
-6.907 0.000 10.504
K Tl Rh Cl
2 4 2 12
Direct
0.000 0.000 0.000 K
0.000 0.500 0.500 K
0.218 0.064 0.743 Tl
0.218 0.436 0.243 Tl
0.782 0.564 0.757 Tl
0.782 0.936 0.257 Tl
0.500 0.000 0.500 Rh
0.500 0.500 0.000 Rh
0.193 0.161 0.471 Cl
0.193 0.339 0.971 Cl
0.278 0.749 0.440 Cl
0.278 0.751 0.940 Cl
0.377 0.047 0.285 Cl
0.377 0.453 0.785 Cl
0.623 0.547 0.215 Cl
0.623 0.953 0.715 Cl
0.722 0.249 0.060 Cl
0.722 0.251 0.560 Cl
0.807 0.661 0.029 Cl
0.807 0.839 0.529 Cl
```


Record 2
The following is a simulated powder diffraction line list of KRu2Cl. It was derived from DFT lattice parameters and positions (PBE), using Cu Kα (weighted mean of Kα1 and Kα2).

Top 10 peaks for 2θ from 10° to 90°, low angle first:
d = 8.089 Å, I 100; d = 4.044 Å, I 19; d = 2.613 Å, I 23; d = 2.566 Å, I 40; d = 2.200 Å, I 39; d = 2.195 Å, I 12; d = 2.093 Å, I 11; d = 2.053 Å, I 21; d = 1.829 Å, I 19; d = 1.129 Å, I 9

Structure:
```
KRu2Cl
1.0
2.987 0.000 0.000
0.000 3.320 0.000
-1.493 0.000 8.089
K Ru Cl
1 2 1
Direct
0.000 0.000 0.000 K
0.242 0.000 0.489 Ru
0.669 0.500 0.341 Ru
0.372 0.500 0.745 Cl
```